CsMg6Co: computed XRD peak list (Cu Kα), based on DFT lattice parameters and positions (GGA-PBE).
No peak broadening, texture or thermal motion is included.

Atomic structure:
```
CsMg6Co
1.0
3.2267 0.0000 0.0000
0.0000 7.5861 0.0000
0.0000 0.0000 17.6989
Cs Mg Co
2 12 2
direct
0.0000 0.0000 0.0000 Cs
0.0000 0.5000 0.5000 Cs
0.0000 0.0000 0.3891 Mg
0.0000 0.2091 0.1811 Mg
0.0000 0.2909 0.6811 Mg
0.0000 0.5000 0.8891 Mg
0.0000 0.7091 0.6811 Mg
0.0000 0.7909 0.1811 Mg
0.5000 0.0000 0.5685 Mg
0.5000 0.1923 0.8200 Mg
0.5000 0.3077 0.3200 Mg
0.5000 0.5000 0.0685 Mg
0.5000 0.6923 0.3200 Mg
0.5000 0.8077 0.8200 Mg
0.5000 0.0000 0.2629 Co
0.5000 0.5000 0.7629 Co
```

Principal peaks in the range 2θ = 15–90°, low angle first:
2θ = 19.06°, I 100; 2θ = 20.07°, I 53; 2θ = 25.55°, I 57; 2θ = 27.81°, I 65; 2θ = 29.46°, I 64; 2θ = 30.53°, I 63; 2θ = 31.06°, I 53; 2θ = 33.80°, I 76; 2θ = 38.00°, I 81; 2θ = 48.22°, I 63


CsMg6Co: computed XRD peak list (Cu Kα), based on DFT lattice parameters and positions (GGA-PBE).
No peak broadening, texture or thermal motion is included.

Atomic structure:
```
CsMg6Co
1.0
3.9070 0.0000 0.0000
0.0000 9.0263 0.0000
0.0000 0.0000 13.2454
Cs Mg Co
2 12 2
direct
0.0000 0.0000 0.0000 Cs
0.0000 0.5000 0.5000 Cs
0.0000 0.2405 0.7537 Mg
0.0000 0.2595 0.2537 Mg
0.0000 0.7405 0.2537 Mg
0.0000 0.7595 0.7537 Mg
0.5000 0.0000 0.2366 Mg
0.5000 0.0000 0.6475 Mg
0.5000 0.1595 0.4368 Mg
0.5000 0.3405 0.9368 Mg
0.5000 0.5000 0.1475 Mg
0.5000 0.5000 0.7366 Mg
0.5000 0.6595 0.9368 Mg
0.5000 0.8405 0.4368 Mg
0.0000 0.0000 0.3595 Co
0.0000 0.5000 0.8595 Co
```

Principal peaks in the range 2θ = 15–90°, low angle first:
2θ = 19.67°, I 47; 2θ = 22.42°, I 90; 2θ = 23.86°, I 30; 2θ = 25.74°, I 59; 2θ = 32.16°, I 62; 2θ = 33.21°, I 100; 2θ = 36.13°, I 36; 2θ = 42.42°, I 30; 2θ = 43.13°, I 27; 2θ = 46.48°, I 36